[1]
Diffraction record for Li3TmF6. The powder XRD pattern is simulated, not measured: it uses DFT lattice parameters and positions (PBE) and a wavelength of 1.5418 Å.
No peak broadening, texture or thermal motion is included.

Crystal structure
```
data_Li3TmF6
_chemical_formula_sum 'Li6 Tm2 F12'
_cell_length_a 8.2106
_cell_length_b 3.3776
_cell_length_c 8.5249
_cell_angle_alpha 90.00
_cell_angle_beta 116.19
_cell_angle_gamma 90.00
_symmetry_space_group_name_H-M 'P 1 21/m 1'
_symmetry_Int_Tables_number 11
loop_
_symmetry_equiv_pos_as_xyz
'x,y,z'
'-x,-y,-z'
'-x,y+1/2,-z'
'x,-y+1/2,z'
loop_
_atom_site_label
_atom_site_fract_x
_atom_site_fract_y
_atom_site_fract_z
_atom_site_occupancy
Li1 0.0164 0.2500 0.3755 1
Li2 0.3438 0.2500 0.8195 1
Li3 0.3716 0.7500 0.5284 1
Tm1 0.2326 0.7500 0.0935 1
F1 0.0517 0.2500 0.9253 1
F2 0.1243 0.7500 0.4753 1
F3 0.2252 0.7500 0.8233 1
F4 0.2298 0.2500 0.2676 1
F5 0.4094 0.2500 0.0764 1
F6 0.4831 0.2500 0.6515 1
```

Most intense lines, 15 to 90 degrees two-theta, by angle:
| (hkl) | 2θ (°) | intensity |
| --- | --- | --- |
| 1 0 -2 | 20.92 | 100.0 |
| 2 0 -1 | 21.67 | 53.8 |
| 2 0 0 | 24.16 | 70.6 |
| 1 1 0 | 29.08 | 95.0 |
| 1 1 -1 | 29.28 | 47.8 |
| 2 1 -2 | 36.73 | 62.8 |
| 0 1 3 | 44.52 | 42.9 |
| 4 0 -4 | 51.48 | 66.9 |

=====

[2]
Diffraction record for LiTm2F8. The powder XRD pattern is simulated, not measured: it uses DFT lattice parameters and positions (PBE) and a wavelength of 1.5418 Å.
No peak broadening, texture or thermal motion is included.

Crystal structure
```
data_LiTm2F8
_chemical_formula_sum 'Li2 Tm4 F16'
_cell_length_a 9.3374
_cell_length_b 6.8521
_cell_length_c 4.5127
_cell_angle_alpha 90.00
_cell_angle_beta 111.41
_cell_angle_gamma 90.00
_symmetry_space_group_name_H-M 'C 1 2/m 1'
_symmetry_Int_Tables_number 12
loop_
_symmetry_equiv_pos_as_xyz
'x,y,z'
'-x,-y,-z'
'-x,y,-z'
'x,-y,z'
'x+1/2,y+1/2,z'
'-x+1/2,-y+1/2,-z'
'-x+1/2,y+1/2,-z'
'x+1/2,-y+1/2,z'
loop_
_atom_site_label
_atom_site_fract_x
_atom_site_fract_y
_atom_site_fract_z
_atom_site_occupancy
Li1 0.0000 0.0000 0.0000 1
Tm1 0.1775 0.5000 0.3975 1
F1 0.0803 0.5000 0.7985 1
F2 0.0997 0.0000 0.6948 1
F3 0.1590 0.1960 0.2383 1
```

Most intense lines, 15 to 90 degrees two-theta, by angle:
| (hkl) | 2θ (°) | intensity |
| --- | --- | --- |
| 1 1 0 | 16.47 | 68.3 |
| 2 0 0 | 20.43 | 49.8 |
| 0 0 1 | 21.15 | 76.9 |
| 2 0 -1 | 23.47 | 100.0 |
| 0 2 0 | 26.01 | 90.2 |
| 1 1 1 | 29.79 | 69.0 |
| 3 1 0 | 33.58 | 62.0 |
| 0 2 1 | 33.76 | 51.8 |